No. 1
# Np3SbSe6
Theoretical PXRD pattern, Cu Kα (λ = 1.5418 Å). Input: a crystal structure in Alexandria, relaxed with PBE.
Peak positions follow from Bragg's law for the DFT cell and can differ from measured ones.

Top 12 peaks for 5 to 70 degrees two-theta, most intense first:
2theta, Rel. int.
35.32, 100
24.55, 71
33.54, 58
17.97, 50
33.28, 49
24.04, 39
24.77, 36
41.10, 33
16.05, 32
36.39, 31
39.91, 29
48.86, 26

Atomic structure:
```
Np3SbSe6
1.0
5.592 -6.796 0.000
5.592 6.796 0.000
0.000 0.000 7.186
Np Sb Se
6 2 12
Direct
0.082 0.918 0.500
0.237 0.420 0.595
0.420 0.237 0.095
0.580 0.763 0.595
0.763 0.580 0.095
0.918 0.082 0.000
0.185 0.815 0.090
0.815 0.185 0.590
0.046 0.596 0.323
0.127 0.213 0.293
0.213 0.127 0.793
0.268 0.732 0.701
0.404 0.954 0.323
0.482 0.518 0.331
0.518 0.482 0.831
0.596 0.046 0.823
0.732 0.268 0.201
0.787 0.873 0.293
0.873 0.787 0.793
0.954 0.404 0.823
```

---

No. 2
# TmMg2Ga6
Theoretical PXRD pattern, Cu Kα (λ = 1.5418 Å). Input: a crystal structure in Alexandria, relaxed with PBE.
Peak positions follow from Bragg's law for the DFT cell and can differ from measured ones.

Top 12 peaks for 5 to 70 degrees two-theta, most intense first:
2theta, Rel. int.
35.76, 100
40.25, 81
13.17, 52
54.92, 29
30.22, 17
26.52, 13
35.32, 11
45.07, 11
55.84, 10
49.18, 10
27.08, 9
38.26, 8

Atomic structure:
```
TmMg2Ga6
1.0
7.763 0.000 0.000
-3.881 6.723 0.000
0.000 0.000 3.293
Tm Mg Ga
1 2 6
Direct
0.000 0.000 0.000
0.333 0.667 0.000
0.667 0.333 0.000
0.000 0.336 0.500
0.000 0.664 0.500
0.336 0.000 0.500
0.336 0.336 0.500
0.664 0.000 0.500
0.664 0.664 0.500
```

---

No. 3
# Sr5CdGa2
Theoretical PXRD pattern, Cu Kα (λ = 1.5418 Å). Input: a crystal structure in Alexandria, relaxed with PBE.
Peak positions follow from Bragg's law for the DFT cell and can differ from measured ones.

Top 12 peaks for 5 to 70 degrees two-theta, most intense first:
2theta, Rel. int.
28.57, 100
30.08, 77
33.62, 56
50.87, 24
29.98, 23
26.01, 21
60.18, 20
55.84, 20
47.37, 15
18.27, 15
44.65, 15
35.86, 14

Atomic structure:
```
Sr5CdGa2
1.0
-4.215 4.215 8.375
4.215 -4.215 8.375
4.215 4.215 -8.375
Sr Cd Ga
10 2 4
Direct
0.000 0.000 0.000
0.033 0.533 0.847
0.186 0.033 0.500
0.314 0.814 0.847
0.467 0.314 0.500
0.500 0.500 0.000
0.533 0.686 0.500
0.686 0.186 0.153
0.814 0.967 0.500
0.967 0.467 0.153
0.250 0.250 0.000
0.750 0.750 0.000
0.107 0.393 0.500
0.393 0.893 0.285
0.607 0.107 0.715
0.893 0.607 0.500
```

---

No. 4
# RbCd9Ag2
Theoretical PXRD pattern, Cu Kα (λ = 1.5418 Å). Input: a crystal structure in Alexandria, relaxed with PBE.
Peak positions follow from Bragg's law for the DFT cell and can differ from measured ones.

Top 12 peaks for 5 to 70 degrees two-theta, most intense first:
2theta, Rel. int.
38.87, 100
32.66, 69
33.03, 56
40.44, 40
38.21, 34
35.10, 27
58.76, 24
28.88, 20
37.49, 20
13.44, 18
62.92, 16
14.61, 15

Atomic structure:
```
RbCd9Ag2
1.0
-6.063 6.063 3.923
6.063 -6.063 3.923
6.063 6.063 -3.923
Rb Cd Ag
2 18 4
Direct
0.375 0.625 0.750
0.625 0.375 0.250
0.125 0.875 0.250
0.136 0.561 0.333
0.136 0.803 0.575
0.197 0.272 0.333
0.197 0.864 0.925
0.272 0.197 0.833
0.272 0.439 0.075
0.439 0.272 0.575
0.439 0.864 0.167
0.561 0.136 0.833
0.561 0.728 0.425
0.728 0.561 0.925
0.728 0.803 0.167
0.803 0.136 0.075
0.803 0.728 0.667
0.864 0.197 0.425
0.864 0.439 0.667
0.875 0.125 0.750
0.000 0.000 0.000
0.000 0.000 0.500
0.000 0.500 0.000
0.500 0.000 0.500
```

---

No. 5
# Cs5Rb4Pd
Theoretical PXRD pattern, Cu Kα (λ = 1.5418 Å). Input: a crystal structure in Alexandria, relaxed with PBE.
Peak positions follow from Bragg's law for the DFT cell and can differ from measured ones.

Top 12 peaks for 5 to 70 degrees two-theta, most intense first:
2theta, Rel. int.
21.05, 100
24.11, 55
34.90, 42
40.65, 33
24.85, 27
7.98, 24
42.86, 22
34.35, 21
41.58, 17
13.59, 13
55.00, 13
61.88, 13

Atomic structure:
```
Cs5Rb4Pd
1.0
-7.831 7.831 3.583
7.831 -7.831 3.583
7.831 7.831 -3.583
Cs Rb Pd
5 4 1
Direct
0.000 0.000 0.000
0.344 0.344 0.688
0.344 0.656 0.000
0.656 0.344 0.000
0.656 0.656 0.312
0.000 0.343 0.343
0.000 0.657 0.657
0.343 0.000 0.343
0.657 0.000 0.657
0.500 0.500 0.000
```

---

No. 6
# NaTi2BeRe
Theoretical PXRD pattern, Cu Kα (λ = 1.5418 Å). Input: a crystal structure in Alexandria, relaxed with PBE.
Peak positions follow from Bragg's law for the DFT cell and can differ from measured ones.

Top 12 peaks for 5 to 70 degrees two-theta, most intense first:
2theta, Rel. int.
19.72, 100
34.32, 85
27.81, 50
40.06, 39
57.45, 26
44.43, 25
45.03, 24
49.47, 22
69.11, 21
39.40, 20
61.35, 19
28.03, 15

Atomic structure:
```
NaTi2BeRe
1.0
4.501 0.000 0.000
0.000 4.501 0.000
0.000 0.000 4.574
Na Ti Be Re
1 2 1 1
Direct
0.000 0.000 0.000
0.000 0.500 0.000
0.500 0.000 0.000
0.500 0.500 0.500
0.000 0.000 0.500
```